Diffraction record for Rb3Fe2AgF9. The XRD peak list is calculated, not measured: it uses a DFT-relaxed cell (PBE+U, Alexandria) and Cu Kα (λ = 1.5418 Å).
Lines closer than 0.1° are merged.

Main lines, sorted by position (5° ≤ 2θ ≤ 70°):
| (hkl) | Position (°2θ) | d (Å) | I_rel |
| --- | --- | --- | --- |
| 0 1 2 | 28.9 | 3.085 | 1000 |
| 1 1 0 | 29.2 | 3.055 | 970 |
| 0 2 1 | 35.9 | 2.498 | 132 |
| 1 1 2 | 37.8 | 2.380 | 68 |
| 2 0 2 | 41.6 | 2.171 | 811 |
| 1 0 4 | 51.1 | 1.787 | 215 |
| 1 2 2 | 51.7 | 1.769 | 366 |
| 3 0 0 | 51.8 | 1.764 | 188 |
| 0 2 4 | 60.0 | 1.542 | 223 |
| 2 2 0 | 60.6 | 1.528 | 245 |
| 2 1 4 | 68.1 | 1.377 | 195 |
| 3 1 2 | 68.6 | 1.369 | 169 |

Atomic structure:
a b c (Å): 6.110 6.110 7.593
angles (deg): 90.00 90.00 120.00
Element x y z (fractional)
Rb1 0.000 0.000 0.000
Rb2 0.333 0.667 0.651
Rb3 0.667 0.333 0.349
Fe1 0.333 0.667 0.152
Fe2 0.667 0.333 0.848
Ag1 0.000 0.000 0.500
F1 0.000 0.500 0.000
F2 0.179 0.359 0.300
F3 0.179 0.821 0.300
F4 0.359 0.179 0.700
F5 0.500 0.000 0.000
F6 0.500 0.500 0.000
F7 0.641 0.821 0.300
F8 0.821 0.179 0.700
F9 0.821 0.641 0.700